Zn5Ag3: theoretical powder X-ray diffraction pattern (λ = 1.5418 Å (Cu Kα)), based on a structure optimized by DFT (GGA-PBE).

Cell and atoms:
```
Zn5Ag3
1.0
7.700 0.000 0.000
-3.850 6.669 0.000
0.000 0.000 5.186
Zn Ag
10 6
Direct
0.000 0.215 0.250
0.000 0.785 0.750
0.215 0.000 0.250
0.215 0.215 0.750
0.333 0.667 0.000
0.333 0.667 0.500
0.667 0.333 0.000
0.667 0.333 0.500
0.785 0.000 0.750
0.785 0.785 0.250
0.000 0.399 0.750
0.000 0.601 0.250
0.399 0.000 0.750
0.399 0.399 0.250
0.601 0.000 0.250
0.601 0.601 0.750
```

The 8 most intense peaks (10 to 80 degrees two-theta), by angle:
| d [Å] | Position (°2θ) | I_rel |
| --- | --- | --- |
| 3.091 | 28.88 | 22.5 |
| 2.593 | 34.59 | 22.3 |
| 2.521 | 35.62 | 25.4 |
| 2.267 | 39.76 | 100.0 |
| 2.223 | 40.58 | 24.8 |
| 2.151 | 42.01 | 48.4 |
| 1.805 | 50.57 | 19.5 |
| 1.426 | 65.47 | 21.2 |

=====

ZnAg3: theoretical powder X-ray diffraction pattern (λ = 1.5418 Å (Cu Kα)), based on a structure optimized by DFT (GGA-PBE).

Cell and atoms:
```
ZnAg3
1.0
-2.018 2.018 8.375
2.018 -2.018 8.375
2.018 2.018 -8.375
Zn Ag
2 6
Direct
0.127 0.127 0.000
0.873 0.873 0.000
0.000 0.500 0.500
0.250 0.750 0.500
0.376 0.376 0.000
0.500 0.000 0.500
0.624 0.624 0.000
0.750 0.250 0.500
```

The 8 most intense peaks (10 to 80 degrees two-theta), by angle:
| d [Å] | Position (°2θ) | I_rel |
| --- | --- | --- |
| 3.925 | 22.66 | 2.2 |
| 2.359 | 38.16 | 100.0 |
| 2.094 | 43.21 | 17.3 |
| 2.018 | 44.91 | 30.9 |
| 1.453 | 64.08 | 20.1 |
| 1.427 | 65.39 | 9.5 |
| 1.254 | 75.87 | 12.1 |
| 1.221 | 78.30 | 22.3 |

=====

Zn3Ag: theoretical powder X-ray diffraction pattern (λ = 1.5418 Å (Cu Kα)), based on a structure optimized by DFT (GGA-PBE).

Cell and atoms:
```
Zn3Ag
1.0
4.416 0.000 0.000
0.000 5.811 0.000
0.000 0.000 4.836
Zn Ag
6 2
Direct
0.250 0.003 0.165
0.250 0.497 0.165
0.250 0.750 0.681
0.750 0.250 0.319
0.750 0.503 0.835
0.750 0.997 0.835
0.250 0.250 0.660
0.750 0.750 0.340
```

The 8 most intense peaks (10 to 80 degrees two-theta), by angle:
| d [Å] | Position (°2θ) | I_rel |
| --- | --- | --- |
| 2.491 | 36.06 | 25.0 |
| 2.418 | 37.18 | 11.5 |
| 2.208 | 40.87 | 35.3 |
| 2.169 | 41.63 | 100.0 |
| 2.121 | 42.63 | 46.1 |
| 1.652 | 55.63 | 13.6 |
| 1.410 | 66.31 | 15.4 |
| 1.267 | 74.94 | 16.0 |

=====

Zn7Ag2: theoretical powder X-ray diffraction pattern (λ = 1.5418 Å (Cu Kα)), based on a structure optimized by DFT (GGA-PBE).

Cell and atoms:
```
Zn7Ag2
1.0
4.914 0.000 0.000
-2.457 4.255 0.000
0.000 0.000 6.705
Zn Ag
7 2
Direct
0.000 0.000 0.000
0.000 0.331 0.662
0.000 0.669 0.338
0.331 0.000 0.662
0.331 0.331 0.338
0.669 0.000 0.338
0.669 0.669 0.662
0.333 0.667 0.000
0.667 0.333 0.000
```

The 8 most intense peaks (10 to 80 degrees two-theta), by angle:
| d [Å] | Position (°2θ) | I_rel |
| --- | --- | --- |
| 6.705 | 13.20 | 4.5 |
| 3.593 | 24.78 | 2.4 |
| 2.307 | 39.05 | 100.0 |
| 2.235 | 40.35 | 29.7 |
| 1.982 | 45.79 | 62.1 |
| 1.418 | 65.84 | 19.4 |
| 1.385 | 67.66 | 18.2 |
| 1.208 | 79.29 | 11.3 |